(1)
The following is a simulated X-ray powder pattern of Sm5Er2TmSc. It was derived from a DFT-relaxed cell (GGA-PBE, Alexandria), using Cu Kα (weighted mean of Kα1 and Kα2).
No peak broadening, texture or thermal motion is included.

Cell and atoms:
abc: 5.3085 21.6842 10.1303
angles: 90.00 90.00 90.00
Space group Cmcm (No. 63)
Unique sites:
Sm 0.0000 0.0000 0.0000 [4 per cell]
Sm 0.0000 0.1262 0.2500 [4 per cell]
Sm 0.0000 0.2208 0.5623 [8 per cell]
Sm 0.0000 0.4990 0.7500 [4 per cell]
Er 0.0000 0.3845 0.0016 [8 per cell]
Tm 0.0000 0.1009 0.7500 [4 per cell]
Sc 0.0000 0.2856 0.2500 [4 per cell]

Top 10 peaks for 10° ≤ 2θ ≤ 90°, by angle:
| 2θ/deg | Rel. int. | h k l |
| --- | --- | --- |
| 27.28 | 34 | 1 3 2 |
| 31.97 | 100 | 1 5 2 |
| 33.05 | 14 | 0 8 0 |
| 33.78 | 40 | 2 0 0 |
| 35.44 | 16 | 0 0 4 |
| 47.97 | 10 | 2 8 0 |
| 49.76 | 13 | 2 0 4 |
| 58.79 | 9 | 1 3 6 |
| 59.28 | 17 | 3 5 2 |
| 61.04 | 21 | 1 13 2 |

(2)
The following is a simulated X-ray powder pattern of Sm6Y2Er3Sc. It was derived from a DFT-relaxed cell (GGA-PBE, Alexandria), using Cu Kα (weighted mean of Kα1 and Kα2).
No peak broadening, texture or thermal motion is included.

Cell and atoms:
abc: 6.1789 10.6983 11.6953
angles: 90.00 100.10 90.00
Space group C2/m (No. 12)
Unique sites:
Sm 0.2475 0.0000 0.2508 [4 per cell]
Sm 0.2477 0.1649 0.7491 [8 per cell]
Y 0.0000 0.3333 0.5000 [4 per cell]
Er 0.0000 0.1665 0.0000 [4 per cell]
Er 0.0000 0.5000 0.0000 [2 per cell]
Sc 0.0000 0.0000 0.5000 [2 per cell]

Top 10 peaks for 10° ≤ 2θ ≤ 90°, by angle:
| 2θ/deg | Rel. int. | h k l |
| --- | --- | --- |
| 30.74 | 100 | 1 3 1 |
| 31.07 | 32 | 0 0 4 |
| 35.74 | 67 | 2 0 2 |
| 51.22 | 24 | 0 6 0 |
| 51.66 | 23 | 1 3 5 |
| 60.94 | 14 | 4 0 0 |
| 61.13 | 28 | 3 3 3 |
| 61.52 | 14 | 2 0 6 |
| 64.03 | 12 | 2 6 2 |
| 83.57 | 12 | 4 6 0 |

(3)
The following is a simulated X-ray powder pattern of SmY2ErSc2. It was derived from a DFT-relaxed cell (GGA-PBE, Alexandria), using Cu Kα (weighted mean of Kα1 and Kα2).
No peak broadening, texture or thermal motion is included.

Cell and atoms:
abc: 6.2988 17.3719 3.3464
angles: 90.00 90.00 90.00
Space group Pnnm (No. 58)
Unique sites:
Sm 0.0000 0.0000 0.0000 [2 per cell]
Y 0.2263 0.3097 0.0000 [4 per cell]
Er 0.0000 0.5000 0.0000 [2 per cell]
Sc 0.2257 0.1453 0.5000 [4 per cell]

Top 10 peaks for 10° ≤ 2θ ≤ 90°, by angle:
| 2θ/deg | Rel. int. | h k l |
| --- | --- | --- |
| 10.18 | 44 | 0 2 0 |
| 20.45 | 25 | 0 4 0 |
| 30.20 | 100 | 2 2 0 |
| 30.88 | 51 | 0 6 0 |
| 31.99 | 47 | 1 2 1 |
| 35.20 | 29 | 2 4 0 |
| 36.79 | 40 | 1 4 1 |
| 42.39 | 18 | 2 3 1 |
| 43.77 | 23 | 1 6 1 |
| 52.52 | 17 | 3 2 1 |

(4)
The following is a simulated X-ray powder pattern of ErSc8Sn6. It was derived from a DFT-relaxed cell (GGA-PBE, Alexandria), using Cu Kα (weighted mean of Kα1 and Kα2).
No peak broadening, texture or thermal motion is included.

Cell and atoms:
abc: 8.5747 8.5747 18.4705
angles: 90.00 90.00 120.00
Space group R-3 (No. 148, hexagonal axes)
Unique sites:
Er 0.0000 0.0000 0.0000 [3 per cell]
Sc 0.0000 0.0000 0.3332 [6 per cell]
Sc 0.0001 0.3317 0.1057 [18 per cell]
Sn 0.9999 0.3387 0.9312 [18 per cell]

Top 10 peaks for 10° ≤ 2θ ≤ 90°, by angle:
| 2θ/deg | Rel. int. | h k l |
| --- | --- | --- |
| 14.39 | 23 | 0 0 3 |
| 20.72 | 16 | 1 1 0 |
| 25.31 | 64 | 1 1 3 |
| 35.91 | 90 | 1 1 6 |
| 36.29 | 100 | 3 0 0 |
| 47.11 | 18 | 3 0 6 |
| 49.22 | 16 | 2 -1 9 |
| 51.98 | 31 | 4 -2 6 |
| 65.04 | 31 | 4 1 6 |
| 65.29 | 18 | 3 3 0 |

(5)
The following is a simulated X-ray powder pattern of Tb5Er6Sc. It was derived from a DFT-relaxed cell (GGA-PBE, Alexandria), using Cu Kα (weighted mean of Kα1 and Kα2).
No peak broadening, texture or thermal motion is included.

Cell and atoms:
abc: 6.0784 10.5189 11.6276
angles: 90.00 100.00 90.00
Space group C2/m (No. 12)
Unique sites:
Tb 0.0000 0.0000 0.0000 [2 per cell]
Tb 0.0000 0.1665 0.5000 [4 per cell]
Tb 0.0000 0.3336 0.0000 [4 per cell]
Er 0.2474 0.3345 0.7475 [8 per cell]
Er 0.2490 0.5000 0.2522 [4 per cell]
Sc 0.0000 0.5000 0.5000 [2 per cell]

Top 10 peaks for 10° ≤ 2θ ≤ 90°, by angle:
| 2θ/deg | Rel. int. | h k l |
| --- | --- | --- |
| 31.23 | 100 | 1 3 1 |
| 36.22 | 51 | 2 0 2 |
| 52.16 | 36 | 0 6 0 |
| 62.06 | 35 | 4 0 0 |
| 62.09 | 7 | 1 3 -7 |
| 65.15 | 12 | 2 6 2 |
| 76.88 | 6 | 2 6 -6 |
| 85.26 | 6 | 4 6 0 |
| 85.31 | 12 | 1 9 1 |
| 88.05 | 11 | 5 3 1 |

(6)
The following is a simulated X-ray powder pattern of TbEr2Sc3. It was derived from a DFT-relaxed cell (GGA-PBE, Alexandria), using Cu Kα (weighted mean of Kα1 and Kα2).
No peak broadening, texture or thermal motion is included.

Cell and atoms:
abc: 5.9359 3.4258 16.4777
angles: 90.00 96.91 90.00
Space group P2_1/m (No. 11)
Unique sites:
Tb 0.0281 0.2500 0.3330 [2 per cell]
Er 0.2501 0.2500 0.0000 [2 per cell]
Er 0.4727 0.2500 0.6668 [2 per cell]
Sc 0.1393 0.7500 0.1665 [2 per cell]
Sc 0.2512 0.7500 0.5004 [2 per cell]
Sc 0.3615 0.7500 0.8331 [2 per cell]

Top 10 peaks for 10° ≤ 2θ ≤ 90°, by angle:
| 2θ/deg | Rel. int. | h k l |
| --- | --- | --- |
| 16.26 | 96 | 0 0 3 |
| 31.01 | 71 | 1 1 1 |
| 31.50 | 100 | 2 0 1 |
| 32.83 | 74 | 0 0 6 |
| 33.55 | 47 | 2 0 2 |
| 35.35 | 40 | 1 1 3 |
| 38.59 | 58 | 1 1 4 |
| 39.80 | 36 | 2 0 4 |
| 53.48 | 42 | 0 2 0 |
| 64.20 | 50 | 3 1 5 |

(7)
The following is a simulated X-ray powder pattern of Tb8ErSc2. It was derived from a DFT-relaxed cell (GGA-PBE, Alexandria), using Cu Kα (weighted mean of Kα1 and Kα2).
No peak broadening, texture or thermal motion is included.

Cell and atoms:
abc: 5.3754 8.2292 15.4475
angles: 90.00 90.00 90.00
Space group Immm (No. 71)
Unique sites:
Tb 0.0000 0.0000 0.1616 [4 per cell]
Tb 0.0000 0.2040 0.3576 [8 per cell]
Tb 0.0000 0.3003 0.0000 [4 per cell]
Er 0.0000 0.5000 0.5000 [2 per cell]
Sc 0.0000 0.5000 0.2015 [4 per cell]

Top 10 peaks for 10° ≤ 2θ ≤ 90°, by angle:
| 2θ/deg | Rel. int. | h k l |
| --- | --- | --- |
| 22.87 | 20 | 1 1 2 |
| 30.50 | 30 | 1 1 4 |
| 32.45 | 100 | 1 2 3 |
| 33.17 | 21 | 0 3 1 |
| 33.34 | 33 | 2 0 0 |
| 34.85 | 18 | 0 0 6 |
| 47.74 | 16 | 2 3 1 |
| 48.99 | 14 | 2 0 6 |
| 59.02 | 18 | 3 2 3 |
| 63.87 | 14 | 1 5 4 |

(8)
The following is a simulated X-ray powder pattern of Tb12Er2Sc5. It was derived from a DFT-relaxed cell (GGA-PBE, Alexandria), using Cu Kα (weighted mean of Kα1 and Kα2).
No peak broadening, texture or thermal motion is included.

Cell and atoms:
abc: 16.5759 6.9101 10.8628
angles: 90.00 107.05 90.00
Space group C2/m (No. 12)
Unique sites:
Tb 0.0992 0.0000 0.3077 [4 per cell]
Tb 0.1051 0.5000 0.8164 [4 per cell]
Tb 0.1884 0.2587 0.5948 [8 per cell]
Tb 0.2020 0.2472 0.1071 [8 per cell]
Er 0.0000 0.2421 0.0000 [4 per cell]
Sc 0.0000 0.5000 0.5000 [2 per cell]
Sc 0.1160 0.0000 0.8249 [4 per cell]
Sc 0.1180 0.5000 0.3000 [4 per cell]

Top 10 peaks for 10° ≤ 2θ ≤ 90°, by angle:
| 2θ/deg | Rel. int. | h k l |
| --- | --- | --- |
| 11.17 | 33 | 2 0 0 |
| 28.18 | 40 | 2 2 0 |
| 31.09 | 68 | 0 2 2 |
| 31.31 | 81 | 2 2 -2 |
| 32.19 | 100 | 4 0 2 |
| 33.01 | 98 | 2 0 -4 |
| 33.24 | 94 | 6 0 -2 |
| 34.44 | 47 | 4 2 0 |
| 34.86 | 45 | 2 2 2 |
| 43.11 | 31 | 6 2 0 |

(9)
The following is a simulated X-ray powder pattern of TbEr14Sc. It was derived from a DFT-relaxed cell (GGA-PBE, Alexandria), using Cu Kα (weighted mean of Kα1 and Kα2).
No peak broadening, texture or thermal motion is included.

Cell and atoms:
abc: 6.9877 6.9877 9.8669
angles: 90.00 90.00 90.00
Space group P4/mmm (No. 123)
Unique sites:
Tb 0.0000 0.0000 0.0000 [1 per cell]
Er 0.0000 0.0000 0.5000 [1 per cell]
Er 0.0000 0.5000 0.0000 [2 per cell]
Er 0.0000 0.5000 0.5000 [2 per cell]
Er 0.2517 0.2517 0.2486 [8 per cell]
Er 0.5000 0.5000 0.5000 [1 per cell]
Sc 0.5000 0.5000 0.0000 [1 per cell]

Top 10 peaks for 10° ≤ 2θ ≤ 90°, by angle:
| 2θ/deg | Rel. int. | h k l |
| --- | --- | --- |
| 31.37 | 100 | 2 0 2 |
| 36.38 | 51 | 2 2 0 |
| 52.40 | 36 | 4 0 0 |
| 62.36 | 42 | 4 2 2 |
| 65.47 | 12 | 4 0 4 |
| 77.23 | 4 | 4 4 0 |
| 77.37 | 2 | 0 0 8 |
| 85.76 | 18 | 6 0 2 |
| 88.51 | 11 | 6 2 0 |
| 88.63 | 6 | 2 2 8 |

(10)
The following is a simulated X-ray powder pattern of Tb5Er6Sc2. It was derived from a DFT-relaxed cell (GGA-PBE, Alexandria), using Cu Kα (weighted mean of Kα1 and Kα2).
No peak broadening, texture or thermal motion is included.

Cell and atoms:
abc: 11.1803 20.0413 3.5364
angles: 90.00 90.00 90.00
Space group Pbam (No. 55)
Unique sites:
Tb 0.0000 0.0000 0.0000 [2 per cell]
Tb 0.0621 0.4222 0.0000 [4 per cell]
Tb 0.1453 0.7206 0.0000 [4 per cell]
Er 0.0807 0.1547 0.0000 [4 per cell]
Er 0.1661 0.8833 0.5000 [4 per cell]
Er 0.2196 0.5553 0.5000 [4 per cell]
Sc 0.1141 0.2862 0.5000 [4 per cell]

Top 10 peaks for 10° ≤ 2θ ≤ 90°, by angle:
| 2θ/deg | Rel. int. | h k l |
| --- | --- | --- |
| 27.89 | 32 | 1 6 0 |
| 29.89 | 79 | 2 0 1 |
| 31.23 | 34 | 2 2 1 |
| 32.00 | 44 | 1 4 1 |
| 32.30 | 78 | 1 7 0 |
| 32.83 | 100 | 2 3 1 |
| 34.78 | 31 | 4 3 0 |
| 41.38 | 25 | 1 7 1 |
| 51.70 | 24 | 0 0 2 |
| 62.28 | 24 | 1 7 2 |

(11)
The following is a simulated X-ray powder pattern of Tb2Er4Sc. It was derived from a DFT-relaxed cell (GGA-PBE, Alexandria), using Cu Kα (weighted mean of Kα1 and Kα2).
No peak broadening, texture or thermal motion is included.

Cell and atoms:
abc: 6.5998 8.6790 8.7034
angles: 81.45 67.74 67.66
Space group P1 (No. 1)
Unique sites:
Tb 0.0000 0.0000 0.0000 [1 per cell]
Tb 0.0310 0.4999 0.4995 [1 per cell]
Tb 0.3405 0.0286 0.5309 [1 per cell]
Tb 0.8995 0.9718 0.4700 [1 per cell]
Er 0.3294 0.1656 0.1628 [1 per cell]
Er 0.3293 0.2465 0.7665 [1 per cell]
Er 0.3345 0.6541 0.6621 [1 per cell]
Er 0.3415 0.7540 0.2340 [1 per cell]
Er 0.6512 0.3462 0.3386 [1 per cell]
Er 0.6579 0.8336 0.8373 [1 per cell]
Er 0.7760 0.2612 0.7507 [1 per cell]
Er 0.7865 0.7402 0.2498 [1 per cell]
Sc 0.3358 0.5248 0.0269 [1 per cell]
Sc 0.8872 0.4755 0.9745 [1 per cell]

Top 10 peaks for 10° ≤ 2θ ≤ 90°, by angle:
| 2θ/deg | Rel. int. | h k l |
| --- | --- | --- |
| 27.06 | 22 | 1 2 2 |
| 31.36 | 100 | 2 0 2 |
| 31.45 | 34 | 1 -2 0 |
| 31.56 | 44 | 0 2 -2 |
| 35.19 | 42 | 0 1 3 |
| 47.77 | 10 | 3 0 0 |
| 56.05 | 15 | 2 -2 4 |
| 58.26 | 20 | -2 1 3 |
| 58.37 | 19 | -2 3 1 |
| 58.47 | 11 | 3 -2 2 |

(12)
The following is a simulated X-ray powder pattern of Tb7Er12Sc. It was derived from a DFT-relaxed cell (GGA-PBE, Alexandria), using Cu Kα (weighted mean of Kα1 and Kα2).
No peak broadening, texture or thermal motion is included.

Cell and atoms:
abc: 18.4497 18.4497 6.5979
angles: 90.00 90.00 120.00
Space group R-3 (No. 148, hexagonal axes)
Unique sites:
Tb 0.0000 0.0000 0.0000 [3 per cell]
Tb 0.0099 0.8551 0.2957 [18 per cell]
Er 0.0003 0.2127 0.2036 [18 per cell]
Er 0.0082 0.4720 0.2373 [18 per cell]
Sc 0.0000 0.0000 0.5000 [3 per cell]

Top 10 peaks for 10° ≤ 2θ ≤ 90°, by angle:
| 2θ/deg | Rel. int. | h k l |
| --- | --- | --- |
| 27.84 | 100 | 5 -2 1 |
| 29.04 | 38 | 3 3 0 |
| 30.89 | 86 | 3 -2 2 |
| 32.61 | 36 | 2 4 1 |
| 33.66 | 78 | 6 0 0 |
| 33.88 | 56 | 4 -1 2 |
| 36.65 | 29 | 5 -3 2 |
| 41.88 | 56 | 3 5 1 |
| 58.60 | 33 | 11 -8 1 |
| 60.74 | 42 | 1 7 3 |